1.
The following is a computed powder X-ray diffraction pattern of CdIn5Ag2. It was derived from a cell relaxed with GGA-PBE, using Cu Kα.
Neutral-atom scattering factors, no anomalous dispersion.

Structure:
```
CdIn5Ag2
1.0
1.6280 -5.5169 0.0000
1.6280 5.5169 0.0000
0.0000 0.0000 21.1390
Cd In Ag
2 10 4
Direct
0.2060 0.7940 0.7500
0.7940 0.2060 0.2500
0.1005 0.8995 0.6102
0.1005 0.8995 0.8898
0.3681 0.6319 0.5309
0.3681 0.6319 0.9691
0.4744 0.5256 0.7500
0.5256 0.4744 0.2500
0.6319 0.3681 0.0309
0.6319 0.3681 0.4691
0.8995 0.1005 0.1102
0.8995 0.1005 0.3898
0.1660 0.8340 0.1495
0.1660 0.8340 0.3505
0.8340 0.1660 0.6495
0.8340 0.1660 0.8505
```

Top 8 peaks for 2θ from 10° to 80°, in order of rising 2θ:
d 2.689, rel. 100.0
d 2.669, rel. 29.1
d 2.647, rel. 87.5
d 2.569, rel. 28.5
d 2.512, rel. 68.1
d 2.376, rel. 55.7
d 2.304, rel. 25.7
d 1.387, rel. 28.3

=====

2.
The following is a computed powder X-ray diffraction pattern of NpU2S5. It was derived from a cell relaxed with GGA-PBE, using Cu Kα.
Neutral-atom scattering factors, no anomalous dispersion.

Structure:
```
NpU2S5
1.0
11.5964 0.0000 0.0000
0.0000 7.8042 0.0000
0.0000 0.0000 7.3192
Np U S
4 8 20
Direct
0.0071 0.2500 0.0789
0.4929 0.7500 0.5789
0.5071 0.2500 0.4211
0.9929 0.7500 0.9211
0.1806 0.0022 0.5153
0.1806 0.4978 0.5153
0.3194 0.5022 0.0153
0.3194 0.9978 0.0153
0.6806 0.0022 0.9847
0.6806 0.4978 0.9847
0.8194 0.5022 0.4847
0.8194 0.9978 0.4847
0.0004 0.2500 0.4652
0.9996 0.7500 0.5348
0.1007 0.5478 0.1661
0.1007 0.9522 0.1661
0.1859 0.2500 0.8256
0.2171 0.7500 0.7926
0.2829 0.2500 0.2926
0.3141 0.7500 0.3256
0.3993 0.0478 0.6661
0.3993 0.4522 0.6661
0.5004 0.2500 0.0348
0.4996 0.7500 0.9652
0.6007 0.5478 0.3339
0.6007 0.9522 0.3339
0.6859 0.2500 0.6744
0.7171 0.7500 0.7074
0.7829 0.2500 0.2074
0.8141 0.7500 0.1744
0.8993 0.0478 0.8339
0.8993 0.4522 0.8339
```

Top 8 peaks for 2θ from 10° to 80°, in order of rising 2θ:
d 3.660, rel. 48.5
d 3.418, rel. 100.0
d 3.301, rel. 66.6
d 3.237, rel. 62.4
d 2.425, rel. 59.5
d 2.327, rel. 23.8
d 1.924, rel. 43.4
d 1.694, rel. 29.7

=====

3.
The following is a computed powder X-ray diffraction pattern of Pr6Mg7. It was derived from a cell relaxed with GGA-PBE, using Cu Kα.
Neutral-atom scattering factors, no anomalous dispersion.

Structure:
```
Pr6Mg7
1.0
3.0628 1.7683 11.7278
-3.0628 1.7683 11.7278
0.0000 -3.5366 11.7278
Pr Mg
6 7
Direct
0.0480 0.0480 0.0480
0.1527 0.1527 0.1527
0.3351 0.3351 0.3351
0.6649 0.6649 0.6649
0.8473 0.8473 0.8473
0.9520 0.9520 0.9520
0.0916 0.5952 0.5952
0.4048 0.4048 0.9084
0.4048 0.9084 0.4048
0.5000 0.5000 0.5000
0.5952 0.0916 0.5952
0.5952 0.5952 0.0916
0.9084 0.4048 0.4048
```

Top 8 peaks for 2θ from 10° to 80°, in order of rising 2θ:
d 5.864, rel. 26.8
d 5.246, rel. 26.1
d 3.063, rel. 100.0
d 2.932, rel. 78.2
d 2.739, rel. 37.6
d 2.715, rel. 60.6
d 1.742, rel. 32.0
d 1.693, rel. 22.3

=====

4.
The following is a computed powder X-ray diffraction pattern of Sc4TlInH. It was derived from a cell relaxed with GGA-PBE, using Cu Kα.
Neutral-atom scattering factors, no anomalous dispersion.

Structure:
```
Sc4TlInH
1.0
3.0243 -7.9122 0.0000
3.0243 7.9122 0.0000
0.0000 0.0000 6.0422
Sc Tl In H
8 2 2 2
Direct
0.0000 0.5000 0.0000
0.0000 0.5000 0.5000
0.0745 0.9255 0.7500
0.4231 0.5769 0.7500
0.5000 0.0000 0.0000
0.5000 0.0000 0.5000
0.5769 0.4231 0.2500
0.9255 0.0745 0.2500
0.1124 0.8876 0.2500
0.8876 0.1124 0.7500
0.3874 0.6126 0.2500
0.6126 0.3874 0.7500
0.2867 0.7133 0.7500
0.7133 0.2867 0.2500
```

Top 8 peaks for 2θ from 10° to 80°, in order of rising 2θ:
d 4.127, rel. 59.8
d 3.956, rel. 29.3
d 3.321, rel. 44.3
d 3.023, rel. 53.8
d 2.824, rel. 32.4
d 2.402, rel. 100.0
d 2.137, rel. 49.0
d 1.998, rel. 28.7

=====

5.
The following is a computed powder X-ray diffraction pattern of Na2Li2CeSe4. It was derived from a cell relaxed with GGA-PBE, using Cu Kα.
Neutral-atom scattering factors, no anomalous dispersion.

Structure:
```
Na2Li2CeSe4
1.0
7.6680 -2.1049 0.0000
7.6680 2.1049 0.0000
-3.4140 0.0000 6.8242
Na Li Ce Se
2 2 1 4
Direct
0.1510 0.1510 0.0439
0.8490 0.8490 0.9561
0.3193 0.3193 0.5174
0.6807 0.6807 0.4826
0.0000 0.0000 0.5000
0.2102 0.2102 0.6955
0.4994 0.4994 0.2440
0.5006 0.5006 0.7560
0.7898 0.7898 0.3045
```

Top 8 peaks for 2θ from 10° to 80°, in order of rising 2θ:
d 6.839, rel. 100.0
d 6.507, rel. 51.6
d 3.685, rel. 79.9
d 3.429, rel. 57.6
d 2.790, rel. 93.9
d 2.744, rel. 43.6
d 2.010, rel. 47.0
d 1.928, rel. 45.1

=====

6.
The following is a computed powder X-ray diffraction pattern of GdGaPd2. It was derived from a cell relaxed with GGA-PBE, using Cu Kα.
Neutral-atom scattering factors, no anomalous dispersion.

Structure:
```
GdGaPd2
1.0
7.4335 0.0000 0.0000
0.0000 7.1713 0.0000
0.0000 0.0000 5.6660
Gd Ga Pd
4 4 8
Direct
0.0302 0.2500 0.1441
0.4698 0.7500 0.6441
0.5302 0.2500 0.3559
0.9698 0.7500 0.8559
0.1161 0.7500 0.3565
0.3839 0.2500 0.8565
0.6161 0.7500 0.1435
0.8839 0.2500 0.6435
0.1820 0.0517 0.5892
0.1820 0.4483 0.5892
0.3180 0.5517 0.0892
0.3180 0.9483 0.0892
0.6820 0.0517 0.9108
0.6820 0.4483 0.9108
0.8180 0.5517 0.4108
0.8180 0.9483 0.4108
```

Top 8 peaks for 2θ from 10° to 80°, in order of rising 2θ:
d 2.852, rel. 48.7
d 2.806, rel. 39.5
d 2.581, rel. 76.2
d 2.483, rel. 100.0
d 2.348, rel. 48.8
d 2.270, rel. 59.8
d 2.130, rel. 31.8
d 2.112, rel. 41.9